ZrTl: simulated powder XRD pattern (Cu Ka), based on a cell relaxed with PBE.

Principal peaks in the range 5 to 70 degrees two-theta, most intense first:
2θ (°)  intensity
32.8  100
38.5  63
8.4  28
34.2  28
66.1  25
54.7  24
56.5  19
65.2  14

Structural model:
```
data_ZrTl
_space_group_name_H-M_alt 'R -3 m'
_space_group_IT_number 166
_space_group_name_Hall '-R 3 2"'
_cell_length_a 3.3584
_cell_length_b 3.3584
_cell_length_c 31.4431
_cell_angle_alpha 90.00
_cell_angle_beta 90.00
_cell_angle_gamma 120.00
loop_
_atom_site_label
_atom_site_type_symbol
_atom_site_fract_x
_atom_site_fract_y
_atom_site_fract_z
_atom_site_occupancy
Zr1 Zr 0.0000 0.0000 0.1290 1
Tl1 Tl 0.0000 0.0000 0.3785 1
```